Ba3NiIrRuO9: computed powder diffraction line list (Cu Kα (λ = 1.5418 Å)), based on the GGA+U geometry in Alexandria.
Intensities are scaled so that the largest is 1000.

Cell: 5.8289 5.8289 14.3519 Å, 90.00 90.00 120.00°
Space group P-3m1 (No. 164)
Unique sites:
Ba 0.0000 0.0000 0.2491
Ba 0.3333 0.6667 0.5862
Ba 0.3333 0.6667 0.9149
Ni 0.0000 0.0000 0.0000
Ni 0.0000 0.0000 0.5000
Ir 0.3333 0.6667 0.1580
Ru 0.3333 0.6667 0.3446
O 0.0275 0.5137 0.2503
O 0.1703 0.3406 0.0835
O 0.1713 0.3425 0.4172

Peak list (10 most intense, 10° ≤ 2θ ≤ 80°, in order of rising 2θ)
d_spacing, 2theta, intensity
4.764, 18.63, 211
3.472, 25.66, 165
2.924, 30.57, 506
2.914, 30.68, 1000
2.495, 36.00, 298
2.064, 43.86, 295
1.895, 48.00, 173
1.684, 54.50, 395
1.590, 58.02, 224
1.457, 63.88, 183